Starting from a DFT-relaxed cell (PBE+U, the Materials Project), the X-ray powder pattern of CrPO4 was computed for Cu Kα.
Kinematic intensities with the Lorentz-polarization factor, no thermal factor.

Main lines, sorted by position (10° ≤ 2θ ≤ 90°):
| d/Å | I/Imax |
| --- | --- |
| 7.201 | 100 |
| 6.961 | 60 |
| 4.665 | 52 |
| 3.880 | 42 |
| 3.600 | 35 |
| 3.575 | 57 |
| 3.209 | 79 |
| 2.840 | 54 |
| 2.463 | 84 |
| 2.113 | 28 |

Structure:
```
CrPO4
1.0
8.8738 -2.4653 0.0000
8.8738 2.4653 0.0000
-7.7209 0.0000 13.9228
Cr P O
8 8 32
Direct
0.0000 0.5000 0.0000 Cr
0.1116 0.6822 0.5271 Cr
0.1782 0.8218 0.7500 Cr
0.3178 0.8884 0.9729 Cr
0.5000 0.0000 0.5000 Cr
0.6822 0.1116 0.0271 Cr
0.8218 0.1782 0.2500 Cr
0.8884 0.3178 0.4729 Cr
0.0159 0.5562 0.6429 P
0.2649 0.7010 0.3813 P
0.2990 0.7351 0.1187 P
0.4438 0.9841 0.8571 P
0.5562 0.0159 0.1429 P
0.7010 0.2649 0.8813 P
0.7351 0.2990 0.6187 P
0.9841 0.4438 0.3571 P
0.0630 0.8306 0.2885 O
0.0971 0.7504 0.0491 O
0.1117 0.4793 0.7354 O
0.1122 0.6382 0.6398 O
0.1499 0.2996 0.5536 O
0.1694 0.9370 0.2114 O
0.1986 0.6521 0.4271 O
0.2151 0.3044 0.9045 O
0.2496 0.9029 0.4509 O
0.2996 0.1499 0.0536 O
0.3044 0.2151 0.4045 O
0.3479 0.8014 0.0729 O
0.3618 0.8878 0.8602 O
0.4057 0.5861 0.8634 O
0.4139 0.5943 0.6366 O
0.4793 0.1117 0.2354 O
0.5207 0.8883 0.7646 O
0.5861 0.4057 0.3634 O
0.5943 0.4139 0.1366 O
0.6382 0.1122 0.1398 O
0.6521 0.1986 0.9271 O
0.6956 0.7849 0.5955 O
0.7004 0.8501 0.9464 O
0.7504 0.0971 0.5491 O
0.7849 0.6956 0.0955 O
0.8014 0.3479 0.5729 O
0.8306 0.0630 0.7886 O
0.8501 0.7004 0.4464 O
0.8878 0.3618 0.3602 O
0.8883 0.5207 0.2646 O
0.9029 0.2496 0.9509 O
0.9370 0.1694 0.7114 O
```